1.
The following is a calculated X-ray powder pattern of Fe3Co8N8. It was derived from a DFT-relaxed cell (PBE, Alexandria), using copper Kα.
Peak positions follow from Bragg's law for the DFT cell and can differ from measured ones.

Structural model:
```
Fe3Co8N8
1.0
7.4914 -1.9016 0.0000
7.4914 1.9016 0.0000
-1.9113 0.0000 5.9681
Fe Co N
3 8 8
direct
0.0000 0.0000 0.0000
0.2693 0.2693 0.3396
0.7307 0.7307 0.6604
0.0973 0.0973 0.4759
0.1734 0.1734 0.9184
0.3558 0.3558 0.8415
0.4953 0.4953 0.2939
0.5047 0.5047 0.7061
0.6442 0.6442 0.1585
0.8266 0.8266 0.0816
0.9027 0.9027 0.5241
0.0390 0.0390 0.7258
0.1354 0.1354 0.1969
0.3051 0.3051 0.0898
0.3808 0.3808 0.5580
0.6192 0.6192 0.4420
0.6949 0.6949 0.9102
0.8646 0.8646 0.8031
0.9610 0.9610 0.2742
```

Top 8 peaks for 2θ from 5° to 70°, in order of falling intensity:
2θ/deg, I (rel.)
40.41, 1000
38.64, 959
47.83, 607
44.89, 597
45.14, 482
67.69, 316
67.88, 245
68.00, 189

2.
The following is a calculated X-ray powder pattern of Li4Zn2Ag5. It was derived from a DFT-relaxed cell (PBE, Alexandria), using copper Kα.
Peak positions follow from Bragg's law for the DFT cell and can differ from measured ones.

Structural model:
```
Li4Zn2Ag5
1.0
7.3760 0.0000 0.0000
0.0000 16.6669 0.0000
0.0000 0.0000 2.9608
Li Zn Ag
8 4 10
direct
0.0956 0.1476 0.0000
0.2138 0.4326 0.0000
0.2862 0.9326 0.0000
0.4044 0.6476 0.0000
0.5956 0.3524 0.0000
0.7138 0.0674 0.0000
0.7862 0.5674 0.0000
0.9044 0.8524 0.0000
0.0228 0.6935 0.0000
0.4772 0.1935 0.0000
0.5228 0.8065 0.0000
0.9772 0.3065 0.0000
0.0000 0.0000 0.5000
0.1297 0.5663 0.5000
0.2201 0.7928 0.5000
0.2799 0.2928 0.5000
0.3703 0.0663 0.5000
0.5000 0.5000 0.5000
0.6297 0.9337 0.5000
0.7201 0.7072 0.5000
0.7799 0.2072 0.5000
0.8703 0.4337 0.5000
```

Top 8 peaks for 2θ from 5° to 70°, in order of falling intensity:
2θ/deg, I (rel.)
24.54, 1000
39.28, 829
40.54, 772
42.64, 590
30.18, 448
24.72, 369
40.11, 353
20.01, 341

3.
The following is a calculated X-ray powder pattern of ZnCu5Sn. It was derived from a DFT-relaxed cell (PBE, Alexandria), using copper Kα.
Peak positions follow from Bragg's law for the DFT cell and can differ from measured ones.

Structural model:
```
ZnCu5Sn
1.0
2.5654 -3.9956 0.0000
2.5654 3.9956 0.0000
0.0000 0.0000 5.0506
Zn Cu Sn
1 5 1
direct
0.0000 0.0000 0.0000
0.0000 0.0000 0.5000
0.0000 0.5000 0.2418
0.0000 0.5000 0.7582
0.5000 0.0000 0.2418
0.5000 0.0000 0.7582
0.5000 0.5000 0.5000
```

Top 8 peaks for 2θ from 5° to 70°, in order of falling intensity:
2θ/deg, I (rel.)
41.85, 1000
42.34, 961
50.73, 555
45.40, 392
27.17, 332
28.48, 173
17.56, 169
42.21, 105

4.
The following is a calculated X-ray powder pattern of PdPb2Au2. It was derived from a DFT-relaxed cell (PBE, Alexandria), using copper Kα.
Peak positions follow from Bragg's law for the DFT cell and can differ from measured ones.

Structural model:
```
PdPb2Au2
1.0
4.8380 -3.2488 0.0000
4.8380 3.2488 0.0000
-2.7567 0.0000 6.9906
Pd Pb Au
2 4 4
direct
0.2474 0.7526 0.7500
0.7526 0.2474 0.2500
0.0766 0.2591 0.6485
0.2591 0.0766 0.1485
0.7409 0.9234 0.8515
0.9234 0.7409 0.3515
0.2683 0.5255 0.0465
0.4745 0.7317 0.4535
0.5255 0.2683 0.5465
0.7317 0.4745 0.9535
```

Top 8 peaks for 2θ from 5° to 70°, in order of falling intensity:
2θ/deg, I (rel.)
33.68, 1000
38.79, 511
39.29, 236
51.91, 104
34.34, 102
39.04, 98
68.35, 78
56.32, 78